No. 1
Starting from a GGA-PBE-relaxed structure, the PXRD pattern of LiTb2MnS5 was simulated for copper Kα.
Peak positions follow from Bragg's law for the DFT cell and can differ from measured ones.

Top 12 peaks for 2θ from 10° to 90°, by angle:
d [Å], 2θ (°), I/Imax
5.278, 16.80, 475
4.264, 20.83, 1000
3.741, 23.78, 303
3.253, 27.42, 686
3.050, 29.28, 882
2.723, 32.89, 486
2.563, 35.01, 730
2.549, 35.21, 441
2.295, 39.26, 902
2.211, 40.81, 371
1.917, 47.42, 382
1.759, 51.99, 438

Structure:
Unit cell a=8.7405 b=8.7405 c=10.5565 alpha=90.00 beta=90.00 gamma=154.66
Positions (direct):
Li 0.2231 0.7769 0.5000
Li 0.7769 0.2231 0.0000
Tb 0.1111 0.8889 0.8050
Tb 0.1199 0.8801 0.1866
Tb 0.8801 0.1199 0.6866
Tb 0.8889 0.1111 0.3050
Mn 0.4059 0.5941 0.9862
Mn 0.5941 0.4059 0.4862
S 0.0326 0.9674 0.5670
S 0.3011 0.6989 0.8387
S 0.3132 0.6868 0.1538
S 0.3597 0.6403 0.4978
S 0.4824 0.5176 0.8010
S 0.5176 0.4824 0.3010
S 0.6403 0.3597 0.9978
S 0.6868 0.3132 0.6538
S 0.6989 0.3011 0.3387
S 0.9674 0.0326 0.0670

---

No. 2
Starting from a GGA-PBE-relaxed structure, the PXRD pattern of Li3UMn2S6 was simulated for copper Kα.
Peak positions follow from Bragg's law for the DFT cell and can differ from measured ones.

Top 12 peaks for 2θ from 10° to 90°, by angle:
d [Å], 2θ (°), I/Imax
6.140, 14.43, 965
5.528, 16.03, 177
5.296, 16.74, 326
4.739, 18.72, 258
4.108, 21.63, 190
3.145, 28.38, 547
2.623, 34.18, 1000
2.412, 37.27, 247
2.030, 44.63, 184
1.867, 48.77, 347
1.843, 49.46, 334
1.765, 51.80, 220

Structure:
Unit cell a=6.3835 b=6.3835 c=6.4970 alpha=99.41 beta=99.41 gamma=119.99
Positions (direct):
Li 0.0000 0.0000 0.0000
Li 0.3345 0.6655 0.0000
Li 0.6655 0.3345 0.0000
U 0.5000 0.5000 0.5000
Mn 0.1668 0.8332 0.5000
Mn 0.8332 0.1668 0.5000
S 0.0819 0.4194 0.2569
S 0.2429 0.2429 0.7418
S 0.4194 0.0819 0.2569
S 0.5806 0.9181 0.7431
S 0.7571 0.7571 0.2582
S 0.9181 0.5806 0.7431

---

No. 3
Starting from a GGA-PBE-relaxed structure, the PXRD pattern of Li2MnVS4 was simulated for copper Kα.
Peak positions follow from Bragg's law for the DFT cell and can differ from measured ones.

Top 12 peaks for 2θ from 10° to 90°, by angle:
d [Å], 2θ (°), I/Imax
6.899, 12.83, 542
4.659, 19.05, 1000
3.824, 23.26, 326
3.450, 25.83, 332
3.345, 26.65, 869
3.159, 28.25, 702
2.956, 30.24, 434
2.374, 37.90, 292
2.297, 39.22, 356
1.971, 46.05, 572
1.782, 51.27, 480
1.672, 54.91, 404

Structure:
Unit cell a=7.6480 b=6.8995 c=6.3172 alpha=90.00 beta=90.00 gamma=90.00
Positions (direct):
Li 0.2473 0.1696 0.0000
Li 0.2527 0.8304 0.5000
Li 0.7473 0.8304 0.5000
Li 0.7527 0.1696 0.0000
Mn 0.0000 0.3470 0.4966
Mn 0.5000 0.6530 0.9966
V 0.0000 0.6684 0.9979
V 0.5000 0.3316 0.4979
S 0.0000 0.3652 0.8730
S 0.0000 0.6631 0.3525
S 0.2434 0.8246 0.8927
S 0.2566 0.1754 0.3927
S 0.5000 0.3369 0.8525
S 0.5000 0.6348 0.3730
S 0.7434 0.1754 0.3927
S 0.7566 0.8246 0.8927

---

No. 4
Starting from a GGA-PBE-relaxed structure, the PXRD pattern of LiMnSb2 was simulated for copper Kα.
Peak positions follow from Bragg's law for the DFT cell and can differ from measured ones.

Top 12 peaks for 2θ from 10° to 90°, by angle:
d [Å], 2θ (°), I/Imax
3.759, 23.67, 767
3.495, 25.48, 732
3.005, 29.73, 337
2.700, 33.18, 787
2.582, 34.74, 1000
2.536, 35.40, 697
2.439, 36.85, 802
2.361, 38.11, 544
2.166, 41.69, 362
2.087, 43.37, 420
1.880, 48.43, 261
1.443, 64.58, 290

Structure:
Unit cell a=5.6356 b=5.6356 c=4.8921 alpha=94.03 beta=94.03 gamma=32.23
Positions (direct):
Li 0.0000 0.0000 0.0000
Mn 0.8110 0.8110 0.5324
Sb 0.2671 0.2671 0.0222
Sb 0.5378 0.5378 0.4996

---

No. 5
Starting from a GGA-PBE-relaxed structure, the PXRD pattern of Li2MnSe was simulated for copper Kα.
Peak positions follow from Bragg's law for the DFT cell and can differ from measured ones.

Top 12 peaks for 2θ from 10° to 90°, by angle:
d [Å], 2θ (°), I/Imax
5.936, 14.92, 683
3.570, 24.94, 1000
3.062, 29.17, 532
2.526, 35.54, 322
2.283, 39.47, 367
2.164, 41.74, 633
2.005, 45.23, 160
1.871, 48.65, 119
1.786, 51.14, 156
1.749, 52.32, 145
1.597, 57.71, 318
1.447, 64.37, 163

Structure:
Unit cell a=3.5740 b=6.2239 c=6.2239 alpha=35.00 beta=90.00 gamma=90.00
Positions (direct):
Li 0.0000 0.0000 0.0000
Li 0.5000 0.3485 0.3485
Mn 0.0000 0.7145 0.7145
Se 0.5000 0.5604 0.5604

---

No. 6
Starting from a GGA-PBE-relaxed structure, the PXRD pattern of Li2Mn3Se6 was simulated for copper Kα.
Peak positions follow from Bragg's law for the DFT cell and can differ from measured ones.

Top 12 peaks for 2θ from 10° to 90°, by angle:
d [Å], 2θ (°), I/Imax
6.413, 13.81, 411
3.206, 27.82, 100
3.128, 28.54, 68
3.011, 29.67, 298
2.647, 33.87, 1000
2.077, 43.59, 130
1.918, 47.41, 225
1.912, 47.55, 112
1.830, 49.83, 334
1.507, 61.55, 111
1.207, 79.40, 78
1.163, 83.04, 93

Structure:
Unit cell a=6.3421 b=6.3421 c=6.7586 alpha=99.07 beta=99.07 gamma=120.08
Positions (direct):
Li 0.1665 0.8335 0.0000
Li 0.8335 0.1665 0.0000
Mn 0.0000 0.0000 0.5000
Mn 0.3322 0.6678 0.5000
Mn 0.6678 0.3322 0.5000
Se 0.0707 0.4106 0.7262
Se 0.2557 0.2557 0.2799
Se 0.4106 0.0707 0.7262
Se 0.5894 0.9293 0.2738
Se 0.7443 0.7443 0.7201
Se 0.9293 0.5894 0.2738

---

No. 7
Starting from a GGA-PBE-relaxed structure, the PXRD pattern of Li4MnSn2Se7 was simulated for copper Kα.
Peak positions follow from Bragg's law for the DFT cell and can differ from measured ones.

Top 12 peaks for 2θ from 10° to 90°, by angle:
d [Å], 2θ (°), I/Imax
5.710, 15.52, 384
3.660, 24.32, 438
3.632, 24.51, 1000
3.417, 26.08, 937
3.224, 27.67, 781
3.192, 27.95, 462
2.501, 35.91, 492
2.108, 42.91, 826
2.092, 43.25, 423
1.939, 46.84, 388
1.934, 46.99, 421
1.920, 47.35, 392

Structure:
Unit cell a=9.9179 b=9.9179 c=10.8713 alpha=92.99 beta=92.99 gamma=43.31
Positions (direct):
Li 0.0290 0.6838 0.7820
Li 0.1566 0.8434 0.5000
Li 0.3895 0.7576 0.8651
Li 0.5405 0.8874 0.5785
Li 0.6838 0.0290 0.2820
Li 0.7576 0.3895 0.3651
Li 0.8434 0.1566 0.0000
Li 0.8874 0.5405 0.0785
Mn 0.1370 0.4355 0.4264
Mn 0.4355 0.1370 0.9264
Sn 0.2584 0.5971 0.1369
Sn 0.2978 0.9921 0.2044
Sn 0.5971 0.2584 0.6369
Sn 0.9921 0.2978 0.7044
Se 0.0728 0.4224 0.8754
Se 0.1285 0.7957 0.9453
Se 0.2308 0.5552 0.5845
Se 0.2751 0.9335 0.6629
Se 0.3788 0.6998 0.3017
Se 0.4224 0.0728 0.3754
Se 0.5198 0.8494 0.0173
Se 0.5552 0.2308 0.0845
Se 0.6531 0.9925 0.7394
Se 0.6998 0.3788 0.8017
Se 0.7957 0.1285 0.4453
Se 0.8494 0.5198 0.5173
Se 0.9335 0.2751 0.1629
Se 0.9925 0.6531 0.2394

---

No. 8
Starting from a GGA-PBE-relaxed structure, the PXRD pattern of Li3TaMn3Se8 was simulated for copper Kα.
Peak positions follow from Bragg's law for the DFT cell and can differ from measured ones.

Top 12 peaks for 2θ from 10° to 90°, by angle:
d [Å], 2θ (°), I/Imax
6.395, 13.85, 704
6.127, 14.46, 186
5.361, 16.53, 108
3.193, 27.95, 211
3.063, 29.15, 164
2.683, 33.39, 1000
2.676, 33.49, 495
2.092, 43.24, 121
1.926, 47.19, 531
1.870, 48.70, 171
1.865, 48.84, 339
1.533, 60.40, 174

Structure:
Unit cell a=7.4547 b=7.4638 c=7.7090 alpha=118.91 beta=90.11 gamma=119.83
Positions (direct):
Li 0.0000 0.0000 0.0000
Li 0.0000 0.5000 0.0000
Li 0.5000 0.0000 0.0000
Ta 0.0000 0.5000 0.5000
Mn 0.0000 0.0000 0.5000
Mn 0.5000 0.0000 0.5000
Mn 0.5000 0.5000 0.5000
Se 0.2423 0.9860 0.7322
Se 0.2434 0.4905 0.7335
Se 0.2536 0.5096 0.2674
Se 0.2572 0.0138 0.2711
Se 0.7428 0.9862 0.7289
Se 0.7464 0.4904 0.7326
Se 0.7566 0.5095 0.2665
Se 0.7577 0.0140 0.2678

---

No. 9
Starting from a GGA-PBE-relaxed structure, the PXRD pattern of LiMn2TlSe4 was simulated for copper Kα.
Peak positions follow from Bragg's law for the DFT cell and can differ from measured ones.

Top 12 peaks for 2θ from 10° to 90°, by angle:
d [Å], 2θ (°), I/Imax
5.849, 15.15, 251
3.723, 23.90, 432
3.018, 29.60, 362
2.925, 30.57, 285
2.884, 31.01, 496
2.828, 31.64, 1000
2.662, 33.67, 664
2.203, 40.97, 236
2.056, 44.04, 228
1.985, 45.71, 291
1.948, 46.62, 630
1.617, 56.95, 253

Structure:
Unit cell a=6.7602 b=6.7602 c=13.6478 alpha=90.00 beta=90.00 gamma=146.53
Positions (direct):
Li 0.1694 0.8306 0.7500
Li 0.8306 0.1694 0.2500
Mn 0.3694 0.6306 0.0635
Mn 0.3694 0.6306 0.4365
Mn 0.6306 0.3694 0.5635
Mn 0.6306 0.3694 0.9365
Tl 0.1175 0.8825 0.2500
Tl 0.8825 0.1175 0.7500
Se 0.0000 0.0000 0.0000
Se 0.0000 0.0000 0.5000
Se 0.2622 0.7378 0.5965
Se 0.2622 0.7378 0.9035
Se 0.4377 0.5623 0.2500
Se 0.5623 0.4377 0.7500
Se 0.7378 0.2622 0.0965
Se 0.7378 0.2622 0.4035

---

No. 10
Starting from a GGA-PBE-relaxed structure, the PXRD pattern of LiMnSi2 was simulated for copper Kα.
Peak positions follow from Bragg's law for the DFT cell and can differ from measured ones.

Top 12 peaks for 2θ from 10° to 90°, by angle:
d [Å], 2θ (°), I/Imax
4.965, 17.86, 1000
3.341, 26.68, 160
2.590, 34.63, 173
2.269, 39.73, 349
2.247, 40.14, 685
1.952, 46.51, 181
1.946, 46.69, 218
1.886, 48.25, 122
1.837, 49.61, 380
1.745, 52.43, 162
1.431, 65.21, 121
1.123, 86.68, 105

Structure:
Unit cell a=4.1769 b=4.1769 c=5.0337 alpha=98.93 beta=98.93 gamma=38.39
Positions (direct):
Li 0.0000 0.0000 0.0000
Mn 0.5000 0.5000 0.5000
Si 0.2373 0.2373 0.7060
Si 0.7627 0.7627 0.2940

---

No. 11
Starting from a GGA-PBE-relaxed structure, the PXRD pattern of LiMn2Sn2 was simulated for copper Kα.
Peak positions follow from Bragg's law for the DFT cell and can differ from measured ones.

Top 12 peaks for 2θ from 10° to 90°, by angle:
d [Å], 2θ (°), I/Imax
5.514, 16.07, 409
3.899, 22.81, 273
3.487, 25.54, 224
2.466, 36.44, 263
2.404, 37.41, 228
2.297, 39.22, 1000
1.891, 48.11, 216
1.838, 49.60, 154
1.608, 57.31, 213
1.575, 58.63, 103
1.308, 72.21, 103
1.225, 78.01, 112

Structure:
Unit cell a=7.7978 b=7.7978 c=3.0528 alpha=90.00 beta=90.00 gamma=90.00
Positions (direct):
Li 0.0000 0.0000 0.0000
Li 0.5000 0.5000 0.0000
Mn 0.1192 0.3808 0.0000
Mn 0.3808 0.8808 0.0000
Mn 0.6192 0.1192 0.0000
Mn 0.8808 0.6192 0.0000
Sn 0.1758 0.6758 0.5000
Sn 0.3242 0.1758 0.5000
Sn 0.6758 0.8242 0.5000
Sn 0.8242 0.3242 0.5000

---

No. 12
Starting from a GGA-PBE-relaxed structure, the PXRD pattern of LiMnSnTe3 was simulated for copper Kα.
Peak positions follow from Bragg's law for the DFT cell and can differ from measured ones.

Top 12 peaks for 2θ from 10° to 90°, by angle:
d [Å], 2θ (°), I/Imax
7.287, 12.15, 259
5.154, 17.21, 256
3.572, 24.93, 570
3.246, 27.48, 940
3.199, 27.89, 521
3.161, 28.23, 778
2.795, 32.02, 1000
2.740, 32.69, 368
2.348, 38.34, 247
2.041, 44.40, 418
1.954, 46.48, 449
1.714, 53.45, 267

Structure:
Unit cell a=7.6733 b=4.0811 c=11.2781 alpha=90.00 beta=108.26 gamma=90.00
Positions (direct):
Li 0.1173 0.2500 0.1219
Li 0.8827 0.7500 0.8781
Mn 0.3044 0.7500 0.3799
Mn 0.6956 0.2500 0.6201
Sn 0.3123 0.2500 0.8234
Sn 0.6877 0.7500 0.1766
Te 0.0611 0.2500 0.3513
Te 0.2777 0.7500 0.0204
Te 0.4618 0.7500 0.6405
Te 0.5382 0.2500 0.3595
Te 0.7223 0.2500 0.9796
Te 0.9389 0.7500 0.6487

---

No. 13
Starting from a GGA-PBE-relaxed structure, the PXRD pattern of SrLi2Mn was simulated for copper Kα.
Peak positions follow from Bragg's law for the DFT cell and can differ from measured ones.

Top 12 peaks for 2θ from 10° to 90°, by angle:
d [Å], 2θ (°), I/Imax
3.703, 24.03, 656
3.684, 24.16, 342
2.614, 34.30, 1000
2.134, 42.35, 298
1.852, 49.21, 119
1.655, 55.52, 252
1.649, 55.74, 144
1.511, 61.38, 228
1.507, 61.55, 100
1.232, 77.51, 106
1.171, 82.37, 99
1.116, 87.38, 71

Structure:
Unit cell a=3.7032 b=3.7032 c=7.3679 alpha=90.00 beta=90.00 gamma=90.00
Positions (direct):
Sr 0.0000 0.0000 0.0000
Li 0.5000 0.5000 0.3194
Li 0.5000 0.5000 0.6806
Mn 0.0000 0.0000 0.5000